Calculated PXRD pattern of ErTmSnB for λ = 1.5418 Å (Cu Kα), from the GGA-PBE geometry in OQMD.
Peak positions follow from Bragg's law for the DFT cell and can differ from measured ones.

Peak list (12 most intense, 10° ≤ 2θ ≤ 90°, in order of rising 2θ)
hkl  d [Å]  intensity
0 0 4  4.072  24
1 0 0  3.127  191
0 0 6  2.710  1000
1 0 6  2.050  125
1 0 7  1.867  29
1 1 0  1.805  179
1 0 9  1.566  135
2 0 0  1.563  26
1 1 6  1.503  312
2 0 6  1.355  33
2 0 9  1.183  55
2 1 3  1.155  124

Lattice parameters (Å, degrees): 3.6105 3.6105 16.2868 90.00 90.00 120.00
Space group P-6m2 (No. 187)
Unique sites:
Er 0.0000 0.0000 0.1578
Tm 0.6667 0.3333 0.3427
Sn 0.0000 0.0000 0.5000
Sn 0.6667 0.3333 0.0000
B 0.3333 0.6667 0.2507